YZnCl6: computed powder XRD pattern (a wavelength of 1.5418 Å), based on a structure optimized by DFT (GGA-PBE).
Intensities are scaled so that the largest is 100.

Peak list (10 most intense, 10° ≤ 2θ ≤ 90°, in order of falling intensity)
| 2θ/deg | I (rel.) | (hkl) |
| --- | --- | --- |
| 18.94 | 100 | 1 0 0 |
| 31.87 | 59 | -1 2 1 |
| 49.40 | 34 | 3 0 -2 |
| 41.70 | 33 | 1 1 1 |
| 41.85 | 30 | -2 1 3 |
| 25.82 | 27 | 0 1 1 |
| 33.96 | 19 | 2 0 -2 |
| 44.50 | 15 | 1 -3 1 |
| 25.90 | 14 | 1 0 -2 |
| 38.37 | 11 | 2 0 0 |

Atomic structure:
Cell: 6.388 6.390 6.924 Å, 90.13 117.22 119.96°
Space group P-1 (No. 2)
One atom of each set of equivalent atoms:
Y: 0.000 0.000 0.000 (multiplicity 1)
Zn: 0.000 0.500 0.500 (multiplicity 1)
Cl: 0.158 0.422 0.258 (multiplicity 2)
Cl: 0.161 0.262 0.740 (multiplicity 2)
Cl: 0.479 0.899 0.742 (multiplicity 2)


Pr2AlNO3: computed powder XRD pattern (a wavelength of 1.5418 Å), based on a structure optimized by DFT (GGA-PBE).
Intensities are scaled so that the largest is 100.

Peak list (10 most intense, 10° ≤ 2θ ≤ 90°, in order of falling intensity)
| 2θ/deg | I (rel.) | (hkl) |
| --- | --- | --- |
| 31.85 | 100 | 1 0 3 |
| 33.74 | 63 | 1 1 0 |
| 24.71 | 50 | 1 0 1 |
| 44.47 | 45 | 1 1 4 |
| 59.16 | 36 | 2 1 3 |
| 48.46 | 32 | 2 0 0 |
| 28.10 | 23 | 0 0 4 |
| 56.31 | 18 | 1 0 7 |
| 77.42 | 15 | 2 1 7 |
| 55.51 | 14 | 1 1 6 |

Atomic structure:
Cell: 3.757 3.757 12.701 Å, 90.00 90.00 90.00°
Space group I4mm (No. 107)
One atom of each set of equivalent atoms:
Pr: 0.000 0.000 0.000 (multiplicity 2)
Pr: 0.000 0.000 0.289 (multiplicity 2)
Al: 0.000 0.000 0.637 (multiplicity 2)
N: 0.000 0.000 0.478 (multiplicity 2)
O: 0.000 0.000 0.810 (multiplicity 2)
O: 0.000 0.500 0.150 (multiplicity 4)


NpB4H16: computed powder XRD pattern (a wavelength of 1.5418 Å), based on a structure optimized by DFT (GGA-PBE).
Intensities are scaled so that the largest is 100.

Peak list (10 most intense, 10° ≤ 2θ ≤ 90°, in order of falling intensity)
| 2θ/deg | I (rel.) | (hkl) |
| --- | --- | --- |
| 17.92 | 100 | 1 0 1 |
| 14.63 | 81 | 1 1 0 |
| 27.55 | 68 | 2 1 1 |
| 33.06 | 41 | 3 1 0 |
| 20.75 | 35 | 2 0 0 |
| 46.18 | 28 | 4 1 1 |
| 44.88 | 25 | 3 1 2 |
| 40.81 | 24 | 3 2 1 |
| 42.19 | 21 | 4 0 0 |
| 55.76 | 21 | 5 0 1 |

Atomic structure:
Cell: 8.562 8.562 6.065 Å, 90.00 90.00 90.00°
Space group P4_2/nmc (No. 137, origin choice 2)
One atom of each set of equivalent atoms:
Np: 0.250 0.750 0.250 (multiplicity 2)
B: 0.017 0.750 0.014 (multiplicity 8)
H: 0.012 0.250 0.783 (multiplicity 8)
H: 0.096 0.250 0.102 (multiplicity 8)
H: 0.106 0.634 0.987 (multiplicity 16)